Record 1
Computed powder XRD pattern of TaOs3 for a wavelength of 1.5418 Å, from DFT lattice parameters and positions (PBE).

Structure:
```
data_TaOs3
_cell_length_a 4.462
_cell_length_b 5.554
_cell_length_c 4.897
_cell_angle_alpha 90.00
_cell_angle_beta 90.00
_cell_angle_gamma 90.00
_space_group_name_H-M_alt 'P m m n'
_space_group_IT_number 59
loop_
_space_group_symop_operation_xyz
'x,y,z'
'-x,-y,-z'
'-x+1/2,-y+1/2,z'
'x+1/2,y+1/2,-z'
'x+1/2,-y,-z'
'-x+1/2,y,z'
'-x,y+1/2,-z'
'x,-y+1/2,z'
loop_
_atom_site_label
_atom_site_type_symbol
_atom_site_fract_x
_atom_site_fract_y
_atom_site_fract_z
Ta1 Ta 0.250 0.250 0.147
Os1 Os 0.250 0.503 0.656
Os2 Os 0.250 0.750 0.176
```

Principal peaks in the range 10° ≤ 2θ ≤ 90°, by angle:
| d/Å | I (rel.) |
| --- | --- |
| 2.416 | 30 |
| 2.231 | 41 |
| 2.147 | 60 |
| 2.124 | 100 |
| 1.639 | 19 |
| 1.407 | 18 |
| 1.388 | 9 |
| 1.271 | 11 |
| 1.266 | 19 |
| 1.190 | 21 |
| 1.179 | 11 |
| 1.166 | 17 |



Record 2
Computed powder XRD pattern of TbTc2Os2 for a wavelength of 1.5418 Å, from DFT lattice parameters and positions (PBE).

Structure:
```
data_TbTc2Os2
_cell_length_a 4.207
_cell_length_b 4.207
_cell_length_c 10.476
_cell_angle_alpha 90.00
_cell_angle_beta 90.00
_cell_angle_gamma 90.00
_space_group_name_H-M_alt 'I 4/m m m'
_space_group_IT_number 139
_space_group_name_Hall '-I 4 2'
loop_
_atom_site_label
_atom_site_type_symbol
_atom_site_fract_x
_atom_site_fract_y
_atom_site_fract_z
Tb1 Tb 0.000 0.000 0.000
Tc1 Tc 0.000 0.500 0.250
Os1 Os 0.000 0.000 0.384
```

Principal peaks in the range 10° ≤ 2θ ≤ 90°, by angle:
| d/Å | I (rel.) |
| --- | --- |
| 3.904 | 26 |
| 2.975 | 49 |
| 2.687 | 98 |
| 2.587 | 100 |
| 2.103 | 93 |
| 1.966 | 47 |
| 1.875 | 57 |
| 1.656 | 47 |
| 1.487 | 31 |
| 1.400 | 44 |
| 1.289 | 22 |
| 1.112 | 22 |



Record 3
Computed powder XRD pattern of Tc2Os for a wavelength of 1.5418 Å, from DFT lattice parameters and positions (PBE).

Structure:
Lattice parameters (Å, degrees): 7.095 7.095 7.095 90.00 90.00 90.00
Space group Fd-3m (No. 227, origin choice 2)
Inequivalent atoms, fractional coordinates:
Tc (0.000, 0.000, 0.000)
Os (0.125, 0.125, 0.625)

Principal peaks in the range 10° ≤ 2θ ≤ 90°, by angle:
| d/Å | I (rel.) |
| --- | --- |
| 4.096 | 3 |
| 2.509 | 51 |
| 2.139 | 100 |
| 2.048 | 22 |
| 1.628 | 1 |
| 1.448 | 19 |
| 1.365 | 31 |
| 1.254 | 24 |
| 1.199 | 1 |
| 1.122 | 9 |



Record 4
Computed powder XRD pattern of Tm3Te5Os for a wavelength of 1.5418 Å, from DFT lattice parameters and positions (PBE).

Structure:
```
data_Tm3Te5Os
_cell_length_a 8.3341
_cell_length_b 8.3341
_cell_length_c 4.2594
_cell_angle_alpha 90.00
_cell_angle_beta 90.00
_cell_angle_gamma 120.00
_space_group_name_H-M_alt 'P -6 2 m'
_space_group_IT_number 189
_space_group_name_Hall 'P -6 -2'
loop_
_atom_site_label
_atom_site_type_symbol
_atom_site_fract_x
_atom_site_fract_y
_atom_site_fract_z
Tm1 Tm 0.0000 0.2568 0.0000
Te1 Te 0.0000 0.6852 0.5000
Te2 Te 0.3333 0.6667 0.0000
Os1 Os 0.0000 0.0000 0.5000
```

Principal peaks in the range 10° ≤ 2θ ≤ 90°, by angle:
| d/Å | I (rel.) |
| --- | --- |
| 7.218 | 51 |
| 3.668 | 13 |
| 2.979 | 100 |
| 2.753 | 33 |
| 2.728 | 13 |
| 2.406 | 62 |
| 2.297 | 75 |
| 2.130 | 25 |
| 1.595 | 35 |
| 1.543 | 22 |
| 1.477 | 12 |
| 1.240 | 14 |



Record 5
Computed powder XRD pattern of Tm3Te5Os for a wavelength of 1.5418 Å, from DFT lattice parameters and positions (PBE).

Structure:
```
data_Tm3Te5Os
_cell_length_a 8.6308
_cell_length_b 8.6308
_cell_length_c 3.7690
_cell_angle_alpha 90.00
_cell_angle_beta 90.00
_cell_angle_gamma 120.00
_space_group_name_H-M_alt 'P -6 2 m'
_space_group_IT_number 189
_space_group_name_Hall 'P -6 -2'
loop_
_atom_site_label
_atom_site_type_symbol
_atom_site_fract_x
_atom_site_fract_y
_atom_site_fract_z
Tm1 Tm 0.0000 0.6497 0.0000
Te1 Te 0.0000 0.2275 0.5000
Te2 Te 0.3333 0.6667 0.5000
Os1 Os 0.0000 0.0000 0.0000
```

Principal peaks in the range 10° ≤ 2θ ≤ 90°, by angle:
| d/Å | I (rel.) |
| --- | --- |
| 7.474 | 39 |
| 4.315 | 18 |
| 2.839 | 100 |
| 2.825 | 27 |
| 2.654 | 43 |
| 2.491 | 67 |
| 2.261 | 59 |
| 2.158 | 15 |
| 1.884 | 19 |
| 1.561 | 20 |
| 1.503 | 28 |
| 1.497 | 28 |



Record 6
Computed powder XRD pattern of Y3Te5Os for a wavelength of 1.5418 Å, from DFT lattice parameters and positions (PBE).

Structure:
```
data_Y3Te5Os
_cell_length_a 8.3674
_cell_length_b 8.3674
_cell_length_c 4.4374
_cell_angle_alpha 90.00
_cell_angle_beta 90.00
_cell_angle_gamma 120.00
_space_group_name_H-M_alt 'P -6 2 m'
_space_group_IT_number 189
_space_group_name_Hall 'P -6 -2'
loop_
_atom_site_label
_atom_site_type_symbol
_atom_site_fract_x
_atom_site_fract_y
_atom_site_fract_z
Y1 Y 0.0000 0.2593 0.0000
Te1 Te 0.0000 0.6897 0.5000
Te2 Te 0.3333 0.6667 0.0000
Os1 Os 0.0000 0.0000 0.5000
```

Principal peaks in the range 10° ≤ 2θ ≤ 90°, by angle:
| d/Å | I (rel.) |
| --- | --- |
| 7.246 | 42 |
| 4.184 | 15 |
| 3.784 | 42 |
| 3.044 | 100 |
| 2.806 | 34 |
| 2.415 | 77 |
| 2.331 | 67 |
| 2.219 | 29 |
| 1.634 | 46 |
| 1.557 | 17 |
| 1.490 | 18 |
| 1.395 | 17 |



Record 7
Computed powder XRD pattern of Y3Te5Os for a wavelength of 1.5418 Å, from DFT lattice parameters and positions (PBE).

Structure:
```
data_Y3Te5Os
_cell_length_a 8.6860
_cell_length_b 8.6860
_cell_length_c 3.7965
_cell_angle_alpha 90.00
_cell_angle_beta 90.00
_cell_angle_gamma 120.00
_space_group_name_H-M_alt 'P -6 2 m'
_space_group_IT_number 189
_space_group_name_Hall 'P -6 -2'
loop_
_atom_site_label
_atom_site_type_symbol
_atom_site_fract_x
_atom_site_fract_y
_atom_site_fract_z
Y1 Y 0.0000 0.6451 0.0000
Te1 Te 0.0000 0.2255 0.5000
Te2 Te 0.3333 0.6667 0.5000
Os1 Os 0.0000 0.0000 0.0000
```

Principal peaks in the range 10° ≤ 2θ ≤ 90°, by angle:
| d/Å | I (rel.) |
| --- | --- |
| 7.522 | 71 |
| 4.343 | 24 |
| 2.858 | 73 |
| 2.843 | 39 |
| 2.672 | 64 |
| 2.507 | 61 |
| 2.276 | 100 |
| 1.898 | 21 |
| 1.641 | 22 |
| 1.571 | 28 |
| 1.513 | 25 |
| 1.242 | 18 |



Record 8
Computed powder XRD pattern of ThOs for a wavelength of 1.5418 Å, from DFT lattice parameters and positions (PBE).

Structure:
```
data_ThOs
_cell_length_a 5.796
_cell_length_b 5.796
_cell_length_c 5.796
_cell_angle_alpha 90.00
_cell_angle_beta 90.00
_cell_angle_gamma 90.00
_space_group_name_H-M_alt 'F m -3 m'
_space_group_IT_number 225
_space_group_name_Hall '-F 4 2 3'
loop_
_atom_site_label
_atom_site_type_symbol
_atom_site_fract_x
_atom_site_fract_y
_atom_site_fract_z
Th1 Th 0.000 0.000 0.000
Os1 Os 0.000 0.000 0.500
```

Principal peaks in the range 10° ≤ 2θ ≤ 90°, by angle:
| d/Å | I (rel.) |
| --- | --- |
| 3.346 | 2 |
| 2.898 | 100 |
| 2.049 | 76 |
| 1.748 | 1 |
| 1.673 | 27 |
| 1.449 | 13 |
| 1.296 | 35 |
| 1.183 | 27 |